No. 1
The following is a computed XRD peak list of Li2WS4. It was derived from a structure optimized by DFT (PBE), using Cu Kα, 1.54184 Å.

Structural model:
Cell lengths 13.208, 7.770, 6.072 Å; angles 90.00, 90.00, 90.00 degrees
Sites, in units of the cell vectors:
Li (0.000, 0.000, 0.000)
Li (0.000, 0.500, 0.000)
Li (0.232, 0.250, 0.495)
Li (0.268, 0.750, 0.995)
Li (0.500, 0.000, 0.500)
Li (0.500, 0.500, 0.500)
Li (0.732, 0.250, 0.005)
Li (0.768, 0.750, 0.505)
W (0.089, 0.750, 0.615)
W (0.411, 0.250, 0.115)
W (0.589, 0.750, 0.885)
W (0.911, 0.250, 0.385)
S (0.068, 0.250, 0.256)
S (0.091, 0.750, 0.253)
S (0.166, 0.519, 0.745)
S (0.166, 0.981, 0.745)
S (0.334, 0.019, 0.245)
S (0.334, 0.481, 0.245)
S (0.409, 0.250, 0.753)
S (0.432, 0.750, 0.756)
S (0.568, 0.250, 0.244)
S (0.591, 0.750, 0.247)
S (0.666, 0.519, 0.755)
S (0.666, 0.981, 0.755)
S (0.834, 0.019, 0.255)
S (0.834, 0.481, 0.255)
S (0.909, 0.250, 0.747)
S (0.932, 0.750, 0.744)

Most intense lines, 2θ from 10° to 90°, in order of rising 2θ:
2theta, Rel. int.
16.07, 52
17.63, 100
18.55, 48
19.86, 30
22.91, 41
26.62, 24
27.53, 44
28.09, 32
32.38, 35
47.47, 24

---

No. 2
The following is a computed XRD peak list of SrSi3Ni. It was derived from a structure optimized by DFT (PBE), using Cu Kα, 1.54184 Å.

Structural model:
Cell lengths 4.184, 4.184, 9.968 Å; angles 90.00, 90.00, 90.00 degrees
Sites, in units of the cell vectors:
Sr (0.000, 0.000, 0.000)
Sr (0.500, 0.500, 0.500)
Si (0.000, 0.000, 0.404)
Si (0.000, 0.500, 0.251)
Si (0.000, 0.500, 0.751)
Si (0.500, 0.000, 0.251)
Si (0.500, 0.000, 0.751)
Si (0.500, 0.500, 0.904)
Ni (0.000, 0.000, 0.645)
Ni (0.500, 0.500, 0.145)

Most intense lines, 2θ from 10° to 90°, in order of rising 2θ:
2theta, Rel. int.
23.05, 21
30.21, 46
34.47, 100
35.28, 81
43.25, 62
50.73, 28
56.44, 46
62.82, 20
64.31, 18
68.81, 22

---

No. 3
The following is a computed XRD peak list of Sr3Mn2N4. It was derived from a structure optimized by DFT (PBE), using Cu Kα, 1.54184 Å.

Structural model:
Cell lengths 7.108, 7.108, 5.568 Å; angles 93.50, 93.50, 74.88 degrees
Sites, in units of the cell vectors:
Sr (0.098, 0.902, 0.750)
Sr (0.243, 0.509, 0.448)
Sr (0.491, 0.757, 0.052)
Sr (0.509, 0.243, 0.948)
Sr (0.757, 0.491, 0.552)
Sr (0.902, 0.098, 0.250)
Mn (0.082, 0.335, 0.926)
Mn (0.335, 0.082, 0.426)
Mn (0.665, 0.918, 0.574)
Mn (0.918, 0.665, 0.074)
N (0.128, 0.229, 0.612)
N (0.185, 0.558, 0.975)
N (0.229, 0.128, 0.112)
N (0.442, 0.815, 0.525)
N (0.558, 0.185, 0.475)
N (0.771, 0.872, 0.888)
N (0.815, 0.442, 0.025)
N (0.872, 0.771, 0.388)

Most intense lines, 2θ from 10° to 90°, in order of rising 2θ:
2theta, Rel. int.
29.56, 60
31.31, 100
34.28, 38
37.21, 17
41.46, 30
41.81, 26
42.05, 31
45.66, 21
57.15, 12
69.80, 13

---

No. 4
The following is a computed XRD peak list of Ba2NdReO6. It was derived from a structure optimized by DFT (PBE), using Cu Kα, 1.54184 Å.

Structural model:
Cell lengths 6.099, 6.099, 6.099 Å; angles 60.00, 60.00, 60.00 degrees
Sites, in units of the cell vectors:
Ba (0.250, 0.250, 0.250)
Ba (0.750, 0.750, 0.750)
Nd (0.000, 0.000, 0.000)
Re (0.500, 0.500, 0.500)
O (0.270, 0.270, 0.730)
O (0.270, 0.730, 0.270)
O (0.270, 0.730, 0.730)
O (0.730, 0.270, 0.270)
O (0.730, 0.270, 0.730)
O (0.730, 0.730, 0.270)

Most intense lines, 2θ from 10° to 90°, in order of rising 2θ:
2theta, Rel. int.
17.81, 2
20.60, 4
29.29, 100
41.90, 28
47.12, 2
51.94, 41
60.74, 18
68.85, 18
76.52, 6
83.96, 22

---

No. 5
The following is a computed XRD peak list of Ge. It was derived from a structure optimized by DFT (PBE), using Cu Kα, 1.54184 Å.

Structural model:
Cell lengths 10.927, 10.927, 10.927 Å; angles 60.00, 60.00, 60.00 degrees
Sites, in units of the cell vectors:
Ge (0.005, 0.236, 0.630)
Ge (0.005, 0.630, 0.236)
Ge (0.005, 0.630, 0.630)
Ge (0.125, 0.125, 0.125)
Ge (0.151, 0.783, 0.783)
Ge (0.217, 0.217, 0.217)
Ge (0.217, 0.217, 0.849)
Ge (0.217, 0.849, 0.217)
Ge (0.236, 0.005, 0.630)
Ge (0.236, 0.630, 0.005)
Ge (0.236, 0.630, 0.630)
Ge (0.370, 0.370, 0.764)
Ge (0.370, 0.370, 0.995)
Ge (0.370, 0.764, 0.370)
Ge (0.370, 0.764, 0.995)
Ge (0.370, 0.995, 0.370)
Ge (0.370, 0.995, 0.764)
Ge (0.630, 0.005, 0.236)
Ge (0.630, 0.005, 0.630)
Ge (0.630, 0.236, 0.005)
Ge (0.630, 0.236, 0.630)
Ge (0.630, 0.630, 0.005)
Ge (0.630, 0.630, 0.236)
Ge (0.764, 0.370, 0.370)
Ge (0.764, 0.370, 0.995)
Ge (0.764, 0.995, 0.370)
Ge (0.783, 0.151, 0.783)
Ge (0.783, 0.783, 0.151)
Ge (0.783, 0.783, 0.783)
Ge (0.849, 0.217, 0.217)
Ge (0.875, 0.875, 0.875)
Ge (0.995, 0.370, 0.370)
Ge (0.995, 0.370, 0.764)
Ge (0.995, 0.764, 0.370)

Most intense lines, 2θ from 10° to 90°, in order of rising 2θ:
2theta, Rel. int.
16.22, 31
19.05, 61
19.90, 34
30.05, 49
32.78, 19
34.33, 72
48.20, 35
50.09, 100
51.19, 34
75.91, 22

---

No. 6
The following is a computed XRD peak list of Er4CoB13. It was derived from a structure optimized by DFT (PBE), using Cu Kα, 1.54184 Å.

Structural model:
Cell lengths 7.276, 7.276, 6.845 Å; angles 90.00, 90.00, 90.00 degrees
Sites, in units of the cell vectors:
Er (0.182, 0.315, 0.000)
Er (0.185, 0.318, 0.500)
Er (0.315, 0.818, 0.000)
Er (0.318, 0.815, 0.500)
Er (0.682, 0.185, 0.500)
Er (0.685, 0.182, 0.000)
Er (0.815, 0.682, 0.500)
Er (0.818, 0.685, 0.000)
Co (0.000, 0.000, 0.500)
Co (0.500, 0.500, 0.000)
B (0.000, 0.000, 0.000)
B (0.039, 0.830, 0.246)
B (0.039, 0.830, 0.754)
B (0.091, 0.591, 0.250)
B (0.091, 0.591, 0.750)
B (0.170, 0.039, 0.246)
B (0.170, 0.039, 0.754)
B (0.330, 0.539, 0.254)
B (0.330, 0.539, 0.746)
B (0.409, 0.091, 0.250)
B (0.409, 0.091, 0.750)
B (0.461, 0.330, 0.254)
B (0.461, 0.330, 0.746)
B (0.500, 0.500, 0.500)
B (0.539, 0.670, 0.254)
B (0.539, 0.670, 0.746)
B (0.591, 0.909, 0.250)
B (0.591, 0.909, 0.750)
B (0.670, 0.461, 0.254)
B (0.670, 0.461, 0.746)
B (0.830, 0.961, 0.246)
B (0.830, 0.961, 0.754)
B (0.909, 0.409, 0.250)
B (0.909, 0.409, 0.750)
B (0.961, 0.170, 0.246)
B (0.961, 0.170, 0.754)

Most intense lines, 2θ from 10° to 90°, in order of rising 2θ:
2theta, Rel. int.
24.47, 41
26.04, 59
27.41, 97
36.03, 41
38.16, 100
44.04, 22
47.62, 27
51.81, 38
58.88, 41
77.74, 23